Starting from a structure optimized by DFT (PBE), the XRD peak list of Pr4P2SeS was simulated for Cu Kα, 1.54184 Å.
Lines closer than 0.1° are merged.

Atomic structure:
Unit cell a=5.9318 b=5.9318 c=11.9011 alpha=90.00 beta=90.00 gamma=90.00
Space group I-4m2 (No. 119)
Asymmetric unit:
Pr 0.0000 0.0000 0.2417 (multiplicity 4)
Pr 0.0000 0.5000 0.5048 (multiplicity 4)
P 0.0000 0.0000 0.0000 (multiplicity 2)
P 0.0000 0.5000 0.7500 (multiplicity 2)
Se 0.0000 0.0000 0.5000 (multiplicity 2)
S 0.0000 0.5000 0.2500 (multiplicity 2)

Peak list (10 most intense, 2θ = 10–80°, by intensity)
two_theta	I/Imax
30.10	100
43.09	73
25.99	53
53.45	26
71.05	22
51.05	18
79.04	16
70.87	10
50.93	8
62.65	8